For CaLaY2, a crystal structure in Alexandria, relaxed with GGA-PBE gives the simulated X-ray diffraction stick pattern in this record (a wavelength of 1.5418 Å).
Kinematic intensities with the Lorentz-polarization factor, no thermal factor.

Structural model:
```
data_CaLaY2
_chemical_formula_sum 'Ca1 La1 Y2'
_symmetry_space_group_name_H-M 'P 4 m m'
_symmetry_Int_Tables_number 99
_symmetry_space_group_name_Hall 'P 4 -2'
_cell_length_a 3.668
_cell_length_b 3.668
_cell_length_c 10.650
_cell_angle_alpha 90.00
_cell_angle_beta 90.00
_cell_angle_gamma 90.00
loop_
_atom_site_label
_atom_site_fract_x
_atom_site_fract_y
_atom_site_fract_z
Ca1 0.000 0.000 0.000
La1 0.500 0.500 0.274
Y1 0.000 0.000 0.515
Y2 0.500 0.500 0.742
```

Top 10 peaks for 2θ from 10° to 90°, by intensity:
29.57 deg, rel. 100, (1 0 2); 34.58 deg, rel. 34, (1 1 0); 58.91 deg, rel. 27, (2 1 2); 49.03 deg, rel. 22, (1 1 4); 33.66 deg, rel. 16, (0 0 4); 49.72 deg, rel. 12, (2 0 0); 57.70 deg, rel. 11, (1 0 6); 61.39 deg, rel. 11, (2 0 4); 79.57 deg, rel. 9, (2 1 6); 35.18 deg, rel. 7, (1 0 3)

---

For Ca4Hg3Bi8, a crystal structure in Alexandria, relaxed with GGA-PBE gives the simulated X-ray diffraction stick pattern in this record (a wavelength of 1.5418 Å).
Kinematic intensities with the Lorentz-polarization factor, no thermal factor.

Structural model:
```
data_Ca4Hg3Bi8
_chemical_formula_sum 'Ca4 Hg3 Bi8'
_symmetry_space_group_name_H-M 'P -4 m 2'
_symmetry_Int_Tables_number 115
_symmetry_space_group_name_Hall 'P -4 -2'
_cell_length_a 4.745
_cell_length_b 4.745
_cell_length_c 20.118
_cell_angle_alpha 90.00
_cell_angle_beta 90.00
_cell_angle_gamma 90.00
loop_
_atom_site_label
_atom_site_fract_x
_atom_site_fract_y
_atom_site_fract_z
Ca1 0.000 0.500 0.112
Ca2 0.000 0.500 0.622
Hg1 0.000 0.000 0.000
Hg2 0.000 0.000 0.500
Hg3 0.500 0.500 0.500
Bi1 0.000 0.000 0.246
Bi2 0.000 0.500 0.389
Bi3 0.000 0.500 0.906
Bi4 0.500 0.500 0.245
```

Top 10 peaks for 2θ from 10° to 90°, by intensity:
32.07 deg, rel. 100, (1 1 4); 37.93 deg, rel. 39, (2 0 0); 64.85 deg, rel. 28, (3 1 4); 20.70 deg, rel. 23, (1 0 2); 53.07 deg, rel. 21, (2 0 8); 54.72 deg, rel. 15, (2 2 0); 35.70 deg, rel. 13, (0 0 8); 61.86 deg, rel. 9, (1 1 12); 26.58 deg, rel. 8, (0 0 6); 67.07 deg, rel. 8, (2 2 8)

---

Q: Number 1 is which compound?
A: CaLaY2

---

Q: Which formula does entry 2 have?
A: Ca4Hg3Bi8

---

What did the second record say?
For Ca4Hg3Bi8, a crystal structure in Alexandria, relaxed with GGA-PBE gives the simulated X-ray diffraction stick pattern in this record (a wavelength of 1.5418 Å).
Kinematic intensities with the Lorentz-polarization factor, no thermal factor.

Structural model:
```
data_Ca4Hg3Bi8
_chemical_formula_sum 'Ca4 Hg3 Bi8'
_symmetry_space_group_name_H-M 'P -4 m 2'
_symmetry_Int_Tables_number 115
_symmetry_space_group_name_Hall 'P -4 -2'
_cell_length_a 4.745
_cell_length_b 4.745
_cell_length_c 20.118
_cell_angle_alpha 90.00
_cell_angle_beta 90.00
_cell_angle_gamma 90.00
loop_
_atom_site_label
_atom_site_fract_x
_atom_site_fract_y
_atom_site_fract_z
Ca1 0.000 0.500 0.112
Ca2 0.000 0.500 0.622
Hg1 0.000 0.000 0.000
Hg2 0.000 0.000 0.500
Hg3 0.500 0.500 0.500
Bi1 0.000 0.000 0.246
Bi2 0.000 0.500 0.389
Bi3 0.000 0.500 0.906
Bi4 0.500 0.500 0.245
```

Top 10 peaks for 2θ from 10° to 90°, by intensity:
32.07 deg, rel. 100, (1 1 4); 37.93 deg, rel. 39, (2 0 0); 64.85 deg, rel. 28, (3 1 4); 20.70 deg, rel. 23, (1 0 2); 53.07 deg, rel. 21, (2 0 8); 54.72 deg, rel. 15, (2 2 0); 35.70 deg, rel. 13, (0 0 8); 61.86 deg, rel. 9, (1 1 12); 26.58 deg, rel. 8, (0 0 6); 67.07 deg, rel. 8, (2 2 8)